1.
Diffraction record for AcCeZn. The X-ray powder pattern is calculated, not measured: it uses a crystal structure in Alexandria, relaxed with PBE and Cu Kα (λ = 1.5418 Å).

Cell and atoms:
```
data_AcCeZn
_chemical_formula_sum 'Ac2 Ce2 Zn2'
_space_group_name_H-M_alt 'P 1'
_space_group_IT_number 1
_cell_length_a 8.8338
_cell_length_b 8.8338
_cell_length_c 5.5264
_cell_angle_alpha 90.00
_cell_angle_beta 90.00
_cell_angle_gamma 155.49
loop_
_space_group_symop_operation_xyz
'x,y,z'
loop_
_atom_site_label
_atom_site_fract_x
_atom_site_fract_y
_atom_site_fract_z
Ac1 0.0756 0.9244 0.7500
Ac2 0.9244 0.0756 0.2500
Ce1 0.2355 0.7645 0.2500
Ce2 0.7645 0.2355 0.7500
Zn1 0.4083 0.5917 0.7500
Zn2 0.5917 0.4083 0.2500
```

Top 10 peaks for 10° ≤ 2θ ≤ 90°, in order of falling intensity:
2θ (°)  I/Imax
32.79  100
32.40  27
31.08  26
26.20  21
58.04  20
45.51  18
56.39  15
24.29  13
68.74  11
59.59  9

2.
Diffraction record for AcCe2Zn6. The X-ray powder pattern is calculated, not measured: it uses a crystal structure in Alexandria, relaxed with PBE and Cu Kα (λ = 1.5418 Å).

Cell and atoms:
```
data_AcCe2Zn6
_chemical_formula_sum 'Ac1 Ce2 Zn6'
_space_group_name_H-M_alt 'P 1'
_space_group_IT_number 1
_cell_length_a 8.0444
_cell_length_b 8.0444
_cell_length_c 3.5997
_cell_angle_alpha 90.00
_cell_angle_beta 90.00
_cell_angle_gamma 120.00
loop_
_space_group_symop_operation_xyz
'x,y,z'
loop_
_atom_site_label
_atom_site_fract_x
_atom_site_fract_y
_atom_site_fract_z
Ac1 0.0000 0.0000 0.0000
Ce1 0.3333 0.6667 0.0000
Ce2 0.6667 0.3333 0.0000
Zn1 0.0000 0.3398 0.5000
Zn2 0.0000 0.6602 0.5000
Zn3 0.3398 0.0000 0.5000
Zn4 0.3398 0.3398 0.5000
Zn5 0.6602 0.0000 0.5000
Zn6 0.6602 0.6602 0.5000
```

Top 10 peaks for 10° ≤ 2θ ≤ 90°, in order of falling intensity:
2θ (°)  I/Imax
33.41  100
38.78  56
52.09  28
66.80  26
65.63  23
22.10  22
70.19  11
50.72  9
83.20  9
84.21  7

3.
Diffraction record for Ac3CeZn8. The X-ray powder pattern is calculated, not measured: it uses a crystal structure in Alexandria, relaxed with PBE and Cu Kα (λ = 1.5418 Å).

Cell and atoms:
```
data_Ac3CeZn8
_chemical_formula_sum 'Ac3 Ce1 Zn8'
_space_group_name_H-M_alt 'P 1'
_space_group_IT_number 1
_cell_length_a 5.8836
_cell_length_b 5.8836
_cell_length_c 8.9784
_cell_angle_alpha 90.00
_cell_angle_beta 90.00
_cell_angle_gamma 120.00
loop_
_space_group_symop_operation_xyz
'x,y,z'
loop_
_atom_site_label
_atom_site_fract_x
_atom_site_fract_y
_atom_site_fract_z
Ac1 0.0000 0.0000 0.0000
Ac2 0.0000 0.0000 0.4008
Ac3 0.3333 0.6667 0.8741
Ce1 0.3333 0.6667 0.5023
Zn1 0.0016 0.5008 0.1995
Zn2 0.3557 0.1778 0.6931
Zn3 0.4992 0.5008 0.1995
Zn4 0.4992 0.9984 0.1995
Zn5 0.6667 0.3333 0.4417
Zn6 0.6667 0.3333 0.9555
Zn7 0.8222 0.1778 0.6931
Zn8 0.8222 0.6443 0.6931
```

Top 10 peaks for 10° ≤ 2θ ≤ 90°, in order of falling intensity:
2θ (°)  I/Imax
36.52  100
34.76  74
30.38  67
36.67  48
56.85  39
58.06  27
63.37  26
26.46  24
63.22  24
74.21  16

4.
Diffraction record for AcCl5. The X-ray powder pattern is calculated, not measured: it uses a crystal structure in Alexandria, relaxed with PBE and Cu Kα (λ = 1.5418 Å).

Cell and atoms:
```
data_AcCl5
_chemical_formula_sum 'Ac1 Cl5'
_space_group_name_H-M_alt 'P 1'
_space_group_IT_number 1
_cell_length_a 4.5738
_cell_length_b 5.7750
_cell_length_c 9.3817
_cell_angle_alpha 90.00
_cell_angle_beta 100.75
_cell_angle_gamma 90.00
loop_
_space_group_symop_operation_xyz
'x,y,z'
loop_
_atom_site_label
_atom_site_fract_x
_atom_site_fract_y
_atom_site_fract_z
Ac1 0.0000 0.0000 0.0000
Cl1 0.0017 0.5000 0.0003
Cl2 0.1734 0.5000 0.4610
Cl3 0.4248 0.0000 0.8038
Cl4 0.5751 0.0000 0.1961
Cl5 0.7867 0.5000 0.5357
```

Top 10 peaks for 10° ≤ 2θ ≤ 90°, in order of falling intensity:
2θ (°)  I/Imax
18.13  100
19.26  39
15.34  29
30.97  28
30.26  26
19.76  24
28.26  24
24.96  23
32.08  19
29.43  19

5.
Diffraction record for Ac8Co4Cl. The X-ray powder pattern is calculated, not measured: it uses a crystal structure in Alexandria, relaxed with PBE and Cu Kα (λ = 1.5418 Å).

Cell and atoms:
```
data_Ac8Co4Cl
_chemical_formula_sum 'Ac8 Co4 Cl1'
_space_group_name_H-M_alt 'P 1'
_space_group_IT_number 1
_cell_length_a 10.6077
_cell_length_b 10.6077
_cell_length_c 14.7224
_cell_angle_alpha 133.32
_cell_angle_beta 133.32
_cell_angle_gamma 23.15
loop_
_space_group_symop_operation_xyz
'x,y,z'
loop_
_atom_site_label
_atom_site_fract_x
_atom_site_fract_y
_atom_site_fract_z
Ac1 0.0000 0.0000 0.0000
Ac2 0.0026 0.0026 0.2657
Ac3 0.3059 0.3059 0.9549
Ac4 0.3118 0.3118 0.2264
Ac5 0.3515 0.3515 0.6571
Ac6 0.6136 0.6136 0.9074
Ac7 0.6994 0.6994 0.3179
Ac8 0.9652 0.9652 0.5690
Co1 0.3269 0.3269 0.4350
Co2 0.5062 0.5062 0.1368
Co3 0.8089 0.8089 0.0942
Co4 0.9835 0.9835 0.7868
Cl1 0.6327 0.6327 0.7105
```

Top 10 peaks for 10° ≤ 2θ ≤ 90°, in order of falling intensity:
2θ (°)  I/Imax
27.69  100
11.98  20
32.66  18
44.87  18
25.72  15
44.43  15
42.46  14
25.43  14
30.86  11
24.87  10

6.
Diffraction record for Ac4CoCl5. The X-ray powder pattern is calculated, not measured: it uses a crystal structure in Alexandria, relaxed with PBE and Cu Kα (λ = 1.5418 Å).

Cell and atoms:
```
data_Ac4CoCl5
_chemical_formula_sum 'Ac4 Co1 Cl5'
_space_group_name_H-M_alt 'P 1'
_space_group_IT_number 1
_cell_length_a 10.0946
_cell_length_b 10.0946
_cell_length_c 8.6993
_cell_angle_alpha 115.37
_cell_angle_beta 115.37
_cell_angle_gamma 23.91
loop_
_space_group_symop_operation_xyz
'x,y,z'
loop_
_atom_site_label
_atom_site_fract_x
_atom_site_fract_y
_atom_site_fract_z
Ac1 0.9999 0.9999 0.2203
Ac2 0.0001 0.0001 0.7797
Ac3 0.3294 0.3294 0.8298
Ac4 0.6706 0.6706 0.1702
Co1 0.5000 0.5000 0.0000
Cl1 0.1730 0.1730 0.4354
Cl2 0.1732 0.1732 0.9093
Cl3 0.5000 0.5000 0.5000
Cl4 0.8268 0.8268 0.0907
Cl5 0.8270 0.8270 0.5646
```

Top 10 peaks for 10° ≤ 2θ ≤ 90°, in order of falling intensity:
2θ (°)  I/Imax
30.07  100
11.33  73
30.20  50
26.09  45
22.77  34
39.24  30
39.16  30
18.13  28
34.44  26
23.61  23

7.
Diffraction record for Ac8Co3I3Cl. The X-ray powder pattern is calculated, not measured: it uses a crystal structure in Alexandria, relaxed with PBE and Cu Kα (λ = 1.5418 Å).

Cell and atoms:
```
data_Ac8Co3I3Cl
_chemical_formula_sum 'Ac8 Co3 I3 Cl1'
_space_group_name_H-M_alt 'P 1'
_space_group_IT_number 1
_cell_length_a 8.7772
_cell_length_b 8.7772
_cell_length_c 9.7209
_cell_angle_alpha 116.86
_cell_angle_beta 116.86
_cell_angle_gamma 60.00
loop_
_space_group_symop_operation_xyz
'x,y,z'
loop_
_atom_site_label
_atom_site_fract_x
_atom_site_fract_y
_atom_site_fract_z
Ac1 0.2023 0.7469 0.6952
Ac2 0.2278 0.2278 0.6822
Ac3 0.2532 0.2532 0.3042
Ac4 0.2531 0.7977 0.3048
Ac5 0.7469 0.2023 0.6952
Ac6 0.7468 0.7468 0.6958
Ac7 0.7722 0.7722 0.3178
Ac8 0.7977 0.2531 0.3048
Co1 0.0000 0.0000 0.5000
Co2 0.0000 0.5000 0.5000
Co3 0.5000 0.0000 0.5000
I1 0.0000 0.5000 0.0000
I2 0.5000 0.0000 0.0000
I3 0.5000 0.5000 0.0000
Cl1 0.5000 0.5000 0.5000
```

Top 10 peaks for 10° ≤ 2θ ≤ 90°, in order of falling intensity:
2θ (°)  I/Imax
27.50  100
41.14  38
24.49  33
37.36  24
29.58  24
53.30  19
50.20  17
34.55  16
10.67  14
32.38  14

8.
Diffraction record for Ac8CoIr3Cl3. The X-ray powder pattern is calculated, not measured: it uses a crystal structure in Alexandria, relaxed with PBE and Cu Kα (λ = 1.5418 Å).

Cell and atoms:
```
data_Ac8CoIr3Cl3
_chemical_formula_sum 'Ac8 Co1 Ir3 Cl3'
_space_group_name_H-M_alt 'P 1'
_space_group_IT_number 1
_cell_length_a 8.6682
_cell_length_b 8.6682
_cell_length_c 9.2760
_cell_angle_alpha 117.76
_cell_angle_beta 117.76
_cell_angle_gamma 59.97
loop_
_space_group_symop_operation_xyz
'x,y,z'
loop_
_atom_site_label
_atom_site_fract_x
_atom_site_fract_y
_atom_site_fract_z
Ac1 0.2314 0.2314 0.7021
Ac2 0.2312 0.7398 0.7019
Ac3 0.2602 0.7688 0.2981
Ac4 0.2649 0.2649 0.2950
Ac5 0.7351 0.7351 0.7050
Ac6 0.7398 0.2312 0.7019
Ac7 0.7688 0.2602 0.2981
Ac8 0.7686 0.7686 0.2979
Co1 0.0000 0.0000 0.5000
Ir1 0.0000 0.5000 0.5000
Ir2 0.5000 0.0000 0.5000
Ir3 0.5000 0.5000 0.5000
Cl1 0.0000 0.0000 0.0000
Cl2 0.0000 0.5000 0.0000
Cl3 0.5000 0.0000 0.0000
```

Top 10 peaks for 10° ≤ 2θ ≤ 90°, in order of falling intensity:
2θ (°)  I/Imax
28.23  100
11.31  51
41.69  40
38.98  30
35.92  26
24.91  23
49.14  22
51.11  20
68.00  17
43.33  12

9.
Diffraction record for Ac6Co2OsCl3. The X-ray powder pattern is calculated, not measured: it uses a crystal structure in Alexandria, relaxed with PBE and Cu Kα (λ = 1.5418 Å).

Cell and atoms:
```
data_Ac6Co2OsCl3
_chemical_formula_sum 'Ac6 Co2 Os1 Cl3'
_space_group_name_H-M_alt 'P 1'
_space_group_IT_number 1
_cell_length_a 10.2592
_cell_length_b 10.2592
_cell_length_c 9.3628
_cell_angle_alpha 110.70
_cell_angle_beta 110.70
_cell_angle_gamma 23.85
loop_
_space_group_symop_operation_xyz
'x,y,z'
loop_
_atom_site_label
_atom_site_fract_x
_atom_site_fract_y
_atom_site_fract_z
Ac1 0.0111 0.0111 0.2259
Ac2 0.3213 0.3213 0.4451
Ac3 0.3433 0.3433 0.8871
Ac4 0.6567 0.6567 0.1129
Ac5 0.6787 0.6787 0.5549
Ac6 0.9889 0.9889 0.7741
Co1 0.1696 0.1696 0.3390
Co2 0.8304 0.8304 0.6610
Os1 0.5000 0.5000 0.0000
Cl1 0.1660 0.1660 0.8345
Cl2 0.5000 0.5000 0.5000
Cl3 0.8340 0.8340 0.1655
```

Top 10 peaks for 10° ≤ 2θ ≤ 90°, in order of falling intensity:
2θ (°)  I/Imax
28.56  100
11.08  39
25.41  38
38.84  29
42.77  26
35.91  24
48.65  23
42.66  13
52.17  13
22.27  9

10.
Diffraction record for Ac4CoPCl2. The X-ray powder pattern is calculated, not measured: it uses a crystal structure in Alexandria, relaxed with PBE and Cu Kα (λ = 1.5418 Å).

Cell and atoms:
```
data_Ac4CoPCl2
_chemical_formula_sum 'Ac4 Co1 P1 Cl2'
_space_group_name_H-M_alt 'P 1'
_space_group_IT_number 1
_cell_length_a 7.8707
_cell_length_b 4.1878
_cell_length_c 7.9229
_cell_angle_alpha 90.00
_cell_angle_beta 107.40
_cell_angle_gamma 90.00
loop_
_space_group_symop_operation_xyz
'x,y,z'
loop_
_atom_site_label
_atom_site_fract_x
_atom_site_fract_y
_atom_site_fract_z
Ac1 0.2137 0.0000 0.2011
Ac2 0.2545 0.5000 0.7812
Ac3 0.7455 0.5000 0.2188
Ac4 0.7863 0.0000 0.7989
Co1 0.0000 0.5000 0.0000
P1 0.5000 0.0000 0.0000
Cl1 0.0000 0.0000 0.5000
Cl2 0.5000 0.5000 0.5000
```

Top 10 peaks for 10° ≤ 2θ ≤ 90°, in order of falling intensity:
2θ (°)  I/Imax
28.62  100
25.46  69
28.04  57
40.59  42
23.69  36
40.40  32
23.54  30
11.72  28
36.57  21
52.30  21

11.
Diffraction record for AcPrCoCl. The X-ray powder pattern is calculated, not measured: it uses a crystal structure in Alexandria, relaxed with PBE and Cu Kα (λ = 1.5418 Å).

Cell and atoms:
```
data_AcPrCoCl
_chemical_formula_sum 'Ac1 Pr1 Co1 Cl1'
_space_group_name_H-M_alt 'P 1'
_space_group_IT_number 1
_cell_length_a 8.2559
_cell_length_b 8.2559
_cell_length_c 8.2559
_cell_angle_alpha 28.56
_cell_angle_beta 28.56
_cell_angle_gamma 28.56
loop_
_space_group_symop_operation_xyz
'x,y,z'
loop_
_atom_site_label
_atom_site_fract_x
_atom_site_fract_y
_atom_site_fract_z
Ac1 0.0000 0.0000 0.0000
Pr1 0.7983 0.7983 0.7983
Co1 0.4009 0.4009 0.4009
Cl1 0.2232 0.2232 0.2232
```

Top 10 peaks for 10° ≤ 2θ ≤ 90°, in order of falling intensity:
2θ (°)  I/Imax
31.60  100
11.18  44
25.53  43
46.07  41
44.49  40
29.46  39
55.58  20
26.36  19
73.82  17
57.14  15

12.
Diffraction record for RbAcCo2Cl8. The X-ray powder pattern is calculated, not measured: it uses a crystal structure in Alexandria, relaxed with PBE and Cu Kα (λ = 1.5418 Å).

Cell and atoms:
```
data_RbAcCo2Cl8
_chemical_formula_sum 'Rb1 Ac1 Co2 Cl8'
_space_group_name_H-M_alt 'P 1'
_space_group_IT_number 1
_cell_length_a 10.5459
_cell_length_b 10.5459
_cell_length_c 10.5459
_cell_angle_alpha 36.73
_cell_angle_beta 36.73
_cell_angle_gamma 36.73
loop_
_space_group_symop_operation_xyz
'x,y,z'
loop_
_atom_site_label
_atom_site_fract_x
_atom_site_fract_y
_atom_site_fract_z
Rb1 0.0000 0.0000 0.0000
Ac1 0.5000 0.5000 0.5000
Co1 0.2520 0.2520 0.2520
Co2 0.7480 0.7480 0.7480
Cl1 0.0878 0.7936 0.4433
Cl2 0.2064 0.5567 0.9122
Cl3 0.3261 0.3261 0.3261
Cl4 0.4433 0.0878 0.7936
Cl5 0.5567 0.9122 0.2064
Cl6 0.6739 0.6739 0.6739
Cl7 0.7936 0.4433 0.0878
Cl8 0.9122 0.2064 0.5567
```

Top 10 peaks for 10° ≤ 2θ ≤ 90°, in order of falling intensity:
2θ (°)  I/Imax
19.57  100
26.83  44
32.53  42
45.95  40
28.77  36
47.39  28
33.43  27
43.37  26
15.69  23
21.58  18

13.
Diffraction record for AcTlCo2Cl8. The X-ray powder pattern is calculated, not measured: it uses a crystal structure in Alexandria, relaxed with PBE and Cu Kα (λ = 1.5418 Å).

Cell and atoms:
```
data_AcTlCo2Cl8
_chemical_formula_sum 'Ac1 Tl1 Co2 Cl8'
_space_group_name_H-M_alt 'P 1'
_space_group_IT_number 1
_cell_length_a 10.3784
_cell_length_b 10.3784
_cell_length_c 10.3784
_cell_angle_alpha 37.09
_cell_angle_beta 37.09
_cell_angle_gamma 37.09
loop_
_space_group_symop_operation_xyz
'x,y,z'
loop_
_atom_site_label
_atom_site_fract_x
_atom_site_fract_y
_atom_site_fract_z
Ac1 0.0000 0.0000 0.0000
Tl1 0.5000 0.5000 0.5000
Co1 0.2463 0.2463 0.2463
Co2 0.7537 0.7537 0.7537
Cl1 0.0608 0.4139 0.7037
Cl2 0.1710 0.1710 0.1710
Cl3 0.2963 0.9392 0.5861
Cl4 0.4139 0.7037 0.0608
Cl5 0.5861 0.2963 0.9392
Cl6 0.7037 0.0608 0.4139
Cl7 0.8290 0.8290 0.8290
Cl8 0.9392 0.5861 0.2963
```

Top 10 peaks for 10° ≤ 2θ ≤ 90°, in order of falling intensity:
2θ (°)  I/Imax
19.79  100
27.01  47
32.87  45
29.20  39
46.63  37
16.67  30
33.71  28
43.72  27
47.72  25
49.10  17

14.
Diffraction record for CsAcTeCl2. The X-ray powder pattern is calculated, not measured: it uses a crystal structure in Alexandria, relaxed with PBE and Cu Kα (λ = 1.5418 Å).

Cell and atoms:
```
data_CsAcTeCl2
_chemical_formula_sum 'Cs1 Ac1 Te1 Cl2'
_space_group_name_H-M_alt 'P 1'
_space_group_IT_number 1
_cell_length_a 5.8353
_cell_length_b 5.8353
_cell_length_c 6.4485
_cell_angle_alpha 90.00
_cell_angle_beta 90.00
_cell_angle_gamma 90.00
loop_
_space_group_symop_operation_xyz
'x,y,z'
loop_
_atom_site_label
_atom_site_fract_x
_atom_site_fract_y
_atom_site_fract_z
Cs1 0.0000 0.0000 0.0000
Ac1 0.5000 0.5000 0.4890
Te1 0.5000 0.5000 0.9884
Cl1 0.0000 0.5000 0.4847
Cl2 0.5000 0.0000 0.4847
```

Top 10 peaks for 10° ≤ 2θ ≤ 90°, in order of falling intensity:
2θ (°)  I/Imax
21.54  100
30.64  79
20.53  71
41.75  67
15.18  63
35.33  59
27.67  51
52.67  34
37.17  32
57.55  30